Computed X-ray powder pattern
Compound: Mn3FeCo2P6O24
Radiation: a wavelength of 1.5418 Å
Structure: a cell relaxed with GGA+U

Main lines, by angle (5° ≤ 2θ ≤ 70°):
2θ 20.67, 4.297 Å, I 90; 2θ 24.46, 3.639 Å, I 100; 2θ 25.46, 3.498 Å, I 19; 2θ 33.48, 2.677 Å, I 69; 2θ 36.21, 2.481 Å, I 41; 2θ 47.99, 1.896 Å, I 34; 2θ 50.14, 1.820 Å, I 27; 2θ 56.68, 1.624 Å, I 25; 2θ 57.28, 1.608 Å, I 17; 2θ 63.40, 1.467 Å, I 21

Cell and atoms:
Cell lengths 8.4529, 8.4529, 8.4529 Å; angles 61.10, 61.10, 61.10 degrees
Positions (direct):
Mn: 0.0000 0.0000 0.0000
Mn: 0.2154 0.2154 0.2154
Mn: 0.5002 0.5002 0.5002
Fe: 0.7137 0.7137 0.7137
Co: 0.3590 0.3590 0.3590
Co: 0.8567 0.8567 0.8567
P: 0.1063 0.8178 0.4003
P: 0.3103 0.6058 0.9026
P: 0.4003 0.1063 0.8178
P: 0.6058 0.9026 0.3103
P: 0.8178 0.4003 0.1063
P: 0.9026 0.3103 0.6058
O: 0.0353 0.8546 0.2471
O: 0.1038 0.2987 0.4415
O: 0.1084 0.7633 0.9240
O: 0.1773 0.9752 0.3588
O: 0.2471 0.0353 0.8546
O: 0.2662 0.6175 0.4122
O: 0.2987 0.4415 0.1038
O: 0.3409 0.5445 0.7453
O: 0.3588 0.1773 0.9752
O: 0.4122 0.2662 0.6175
O: 0.4415 0.1038 0.2987
O: 0.4693 0.6683 0.8662
O: 0.5445 0.7453 0.3409
O: 0.6011 0.9489 0.8038
O: 0.6175 0.4122 0.2662
O: 0.6683 0.8662 0.4693
O: 0.7453 0.3409 0.5445
O: 0.7633 0.9240 0.1084
O: 0.8038 0.6011 0.9489
O: 0.8546 0.2471 0.0353
O: 0.8662 0.4693 0.6683
O: 0.9240 0.1084 0.7633
O: 0.9489 0.8038 0.6011
O: 0.9752 0.3588 0.1773